No. 1
The following is a simulated PXRD pattern of NaZnPO4. It was derived from a structure optimized by DFT (GGA-PBE), using CuKα.
Lines closer than 0.1° are merged.

Top 12 peaks for 2θ from 15° to 90°, in order of rising 2θ:
hkl 1 0 0, 2θ 20.56, 4.320 Å, rel. 78; hkl 1 0 -2, 2θ 20.66, 4.299 Å, rel. 27; hkl 0 2 1, 2θ 21.20, 4.192 Å, rel. 78; hkl 1 1 -2, 2θ 22.44, 3.962 Å, rel. 100; hkl 0 0 2, 2θ 23.88, 3.727 Å, rel. 31; hkl 1 2 -1, 2θ 24.34, 3.657 Å, rel. 40; hkl 0 3 1, 2θ 29.01, 3.078 Å, rel. 51; hkl 0 2 2, 2θ 29.76, 3.003 Å, rel. 51; hkl 2 0 -2, 2θ 33.95, 2.641 Å, rel. 83; hkl 1 2 1, 2θ 34.29, 2.615 Å, rel. 35; hkl 1 2 -3, 2θ 34.42, 2.606 Å, rel. 65; hkl 0 4 0, 2θ 35.41, 2.535 Å, rel. 49

Structural model:
abc: 5.2818 10.1388 9.1123
angles: 90.00 125.12 90.00
Sites, in units of the cell vectors:
Na: 0.1997 0.1172 0.4825
Na: 0.1997 0.3828 0.9825
Na: 0.8003 0.6172 0.0175
Na: 0.8003 0.8828 0.5175
Zn: 0.3037 0.6687 0.5088
Zn: 0.3037 0.8313 0.0088
Zn: 0.6963 0.1687 0.9912
Zn: 0.6963 0.3313 0.4912
P: 0.4205 0.0991 0.2186
P: 0.4205 0.4009 0.7186
P: 0.5795 0.5991 0.2814
P: 0.5795 0.9009 0.7814
O: 0.1140 0.1268 0.2003
O: 0.1140 0.3732 0.7003
O: 0.3070 0.6456 0.0884
O: 0.3070 0.8544 0.5884
O: 0.4159 0.1741 0.0693
O: 0.4159 0.3259 0.5693
O: 0.4757 0.5508 0.7158
O: 0.4757 0.9492 0.2158
O: 0.5243 0.0508 0.7842
O: 0.5243 0.4492 0.2842
O: 0.5841 0.6741 0.4307
O: 0.5841 0.8259 0.9307
O: 0.6930 0.1456 0.4116
O: 0.6930 0.3544 0.9116
O: 0.8860 0.6268 0.2997
O: 0.8860 0.8732 0.7997

---

No. 2
The following is a simulated PXRD pattern of NaZn2P2O8. It was derived from a structure optimized by DFT (GGA-PBE), using CuKα.
Lines closer than 0.1° are merged.

Top 12 peaks for 2θ from 15° to 90°, in order of rising 2θ:
hkl 0 1 1, 2θ 16.12, 5.497 Å, rel. 100; hkl -1 1 1, 2θ 19.90, 4.462 Å, rel. 77; hkl 0 2 0, 2θ 21.26, 4.180 Å, rel. 73; hkl 1 -2 0, 2θ 23.52, 3.782 Å, rel. 58; hkl 0 2 -2, 2θ 26.65, 3.345 Å, rel. 48; hkl 1 -1 2, 2θ 29.18, 3.060 Å, rel. 64; hkl -1 2 2, 2θ 31.45, 2.844 Å, rel. 43; hkl 0 3 -1, 2θ 31.78, 2.816 Å, rel. 31; hkl 1 2 0, 2θ 32.38, 2.765 Å, rel. 68; hkl 1 1 -3, 2θ 34.13, 2.627 Å, rel. 22; hkl -2 1 1, 2θ 35.16, 2.552 Å, rel. 31; hkl 1 4 -2, 2θ 51.88, 1.762 Å, rel. 20

Structural model:
abc: 5.1400 8.8550 8.9476
angles: 97.76 100.24 105.84
Sites, in units of the cell vectors:
Na: 0.0897 0.3015 0.3123
Na: 0.9103 0.6985 0.6877
Zn: 0.1810 0.8908 0.1122
Zn: 0.2799 0.3866 0.7442
Zn: 0.7201 0.6134 0.2558
Zn: 0.8190 0.1092 0.8878
P: 0.3364 0.7414 0.4202
P: 0.4068 0.2504 0.0601
P: 0.5932 0.7496 0.9399
P: 0.6636 0.2586 0.5798
O: 0.0840 0.5878 0.3438
O: 0.2181 0.1173 0.1241
O: 0.2235 0.2431 0.8948
O: 0.2790 0.8000 0.5774
O: 0.3107 0.7734 0.9524
O: 0.3539 0.8681 0.3182
O: 0.3931 0.3073 0.5573
O: 0.4420 0.4097 0.1666
O: 0.5580 0.5903 0.8334
O: 0.6069 0.6927 0.4427
O: 0.6461 0.1319 0.6818
O: 0.6893 0.2266 0.0476
O: 0.7210 0.2000 0.4226
O: 0.7765 0.7569 0.1052
O: 0.7819 0.8827 0.8759
O: 0.9160 0.4122 0.6562